1.
Te8IrI5: theoretical powder X-ray diffraction pattern (Cu Kα (weighted mean of Kα1 and Kα2)), based on a cell relaxed with PBE.

The 10 most intense peaks (15 to 90 degrees two-theta), by angle:
- 2θ 24.97, I 37.6
- 2θ 26.68, I 75.8
- 2θ 27.09, I 42.6
- 2θ 28.53, I 42.1
- 2θ 28.72, I 100.0
- 2θ 30.25, I 72.3
- 2θ 32.79, I 37.1
- 2θ 33.83, I 65.0
- 2θ 45.72, I 31.7
- 2θ 47.65, I 37.0

```
28
Lattice="10.021 0.000 0.000 -0.483 10.614 0.000 -4.223 -2.431 10.573" Properties=species:S:1:pos:R:3 pbc="T T T"
Te -0.799 3.120 2.853
Te -3.257 2.554 9.298
Te -3.776 6.192 10.348
Te -2.258 0.019 10.570
Te 1.163 7.673 3.408
Te 1.877 4.089 2.336
Te 0.270 3.479 8.694
Te 3.797 6.997 0.699
Te 1.518 1.187 9.874
Te 5.045 4.705 1.879
Te 3.438 4.094 8.237
Te 4.152 0.510 7.165
Te 7.573 8.165 0.003
Te 9.091 1.991 0.225
Te 8.572 5.630 1.275
Te 6.114 5.064 7.720
Ir 1.170 6.365 1.060
Ir 4.145 1.819 9.512
I -1.454 9.111 3.089
I -0.263 5.387 5.081
I -1.038 6.938 9.049
I 3.025 -0.519 2.598
I 1.474 1.603 6.194
I 3.841 6.580 4.379
I 2.290 8.703 7.975
I 6.353 1.246 1.524
I 5.578 2.797 5.492
I 6.769 -0.927 7.483
```

=====

2.
TiTe2IrI: theoretical powder X-ray diffraction pattern (Cu Kα (weighted mean of Kα1 and Kα2)), based on a cell relaxed with PBE.

The 10 most intense peaks (15 to 90 degrees two-theta), by angle:
- 2θ 16.70, I 50.0
- 2θ 16.92, I 100.0
- 2θ 29.39, I 41.6
- 2θ 33.76, I 48.9
- 2θ 34.22, I 94.3
- 2θ 37.99, I 27.2
- 2θ 38.41, I 26.4
- 2θ 48.84, I 68.6
- 2θ 49.18, I 33.6
- 2θ 60.98, I 35.0

```
5
Lattice="5.240 0.000 0.000 0.000 5.240 0.000 0.000 0.000 5.310" Properties=species:S:1:pos:R:3 pbc="T T T"
Ti 0.000 0.000 0.000
Te 0.000 2.620 2.655
Te 2.620 0.000 2.655
Ir 2.620 2.620 2.655
I 2.620 2.620 0.000
```

=====

3.
K4I: theoretical powder X-ray diffraction pattern (Cu Kα (weighted mean of Kα1 and Kα2)), based on a cell relaxed with PBE.

The 10 most intense peaks (15 to 90 degrees two-theta), by angle:
- 2θ 17.89, I 85.4
- 2θ 25.41, I 100.0
- 2θ 28.47, I 54.6
- 2θ 31.25, I 42.7
- 2θ 36.25, I 74.7
- 2θ 38.53, I 30.0
- 2θ 44.79, I 26.2
- 2θ 48.60, I 24.4
- 2θ 58.92, I 32.7
- 2θ 65.20, I 23.6

```
5
Lattice="7.010 0.000 0.000 0.000 7.010 0.000 0.000 0.000 7.010" Properties=species:S:1:pos:R:3 pbc="T T T"
K 0.000 0.000 0.000
K 0.000 3.505 3.505
K 3.505 0.000 3.505
K 3.505 3.505 0.000
I 3.505 3.505 3.505
```

=====

4.
KI4: theoretical powder X-ray diffraction pattern (Cu Kα (weighted mean of Kα1 and Kα2)), based on a cell relaxed with PBE.

The 10 most intense peaks (15 to 90 degrees two-theta), by angle:
- 2θ 17.73, I 30.6
- 2θ 18.35, I 31.3
- 2θ 20.21, I 100.0
- 2θ 22.33, I 34.4
- 2θ 22.76, I 41.9
- 2θ 23.82, I 70.4
- 2θ 31.77, I 27.2
- 2θ 33.98, I 27.9
- 2θ 35.04, I 43.5
- 2θ 35.71, I 32.4

```
10
Lattice="6.107 0.000 0.000 -2.354 9.038 0.000 -0.392 -2.348 9.791" Properties=species:S:1:pos:R:3 pbc="T T T"
K 0.000 0.000 0.000
K 2.851 -1.168 4.884
I -0.207 0.811 5.369
I -0.931 6.288 1.929
I -1.136 5.289 6.850
I 1.416 1.836 3.024
I 3.051 1.982 0.475
I 1.918 5.127 6.829
I 2.122 6.450 1.956
I 4.274 0.665 7.920
```

=====

5.
KLi2LaI6: theoretical powder X-ray diffraction pattern (Cu Kα (weighted mean of Kα1 and Kα2)), based on a cell relaxed with PBE.

The 10 most intense peaks (15 to 90 degrees two-theta), by angle:
- 2θ 20.82, I 10.5
- 2θ 24.65, I 20.7
- 2θ 25.46, I 100.0
- 2θ 27.03, I 22.4
- 2θ 30.64, I 10.5
- 2θ 33.43, I 36.6
- 2θ 34.51, I 10.3
- 2θ 39.02, I 27.4
- 2θ 43.89, I 23.7
- 2θ 47.17, I 12.5

```
10
Lattice="3.998 2.308 7.224 -3.998 2.308 7.224 0.000 -4.617 7.224" Properties=species:S:1:pos:R:3 pbc="T T T"
K 0.000 0.000 0.000
Li 0.000 0.000 4.357
Li 0.000 0.000 15.327
La 0.000 0.000 11.169
I -1.437 -2.467 9.737
I -2.350 0.487 13.271
I -1.418 2.477 9.737
I 0.753 -2.279 13.271
I 2.854 -0.011 9.737
I 1.597 1.792 13.271
```

=====

6.
KLaI2O8: theoretical powder X-ray diffraction pattern (Cu Kα (weighted mean of Kα1 and Kα2)), based on a cell relaxed with PBE.

The 10 most intense peaks (15 to 90 degrees two-theta), by angle:
- 2θ 19.59, I 30.9
- 2θ 24.78, I 89.0
- 2θ 26.28, I 93.2
- 2θ 26.65, I 77.4
- 2θ 27.75, I 100.0
- 2θ 27.93, I 29.1
- 2θ 38.19, I 34.0
- 2θ 38.98, I 47.9
- 2θ 47.18, I 27.7
- 2θ 47.72, I 40.9

```
12
Lattice="6.664 -3.345 0.000 6.664 3.345 0.000 -1.342 0.000 4.531" Properties=species:S:1:pos:R:3 pbc="T T T"
K 0.000 0.000 0.000
La 5.993 0.000 2.265
I 1.927 0.000 3.118
I 10.058 0.000 1.413
O 4.420 1.975 2.083
O 2.747 0.000 0.320
O 7.566 1.975 2.448
O 4.590 0.000 4.365
O 7.396 0.000 0.166
O 4.420 -1.975 2.083
O 9.238 0.000 4.211
O 7.566 -1.975 2.448
```

=====

7.
K4La6OsI14: theoretical powder X-ray diffraction pattern (Cu Kα (weighted mean of Kα1 and Kα2)), based on a cell relaxed with PBE.

The 10 most intense peaks (15 to 90 degrees two-theta), by angle:
- 2θ 23.73, I 44.0
- 2θ 25.25, I 54.9
- 2θ 27.86, I 98.8
- 2θ 28.14, I 100.0
- 2θ 29.15, I 31.9
- 2θ 31.83, I 40.4
- 2θ 39.76, I 95.0
- 2θ 40.01, I 29.9
- 2θ 42.78, I 52.4
- 2θ 65.10, I 27.4

```
50
Lattice="10.129 0.000 0.000 0.000 10.129 0.000 0.000 0.000 22.495" Properties=species:S:1:pos:R:3 pbc="T T T"
K 1.762 3.303 5.624
K 1.762 3.303 16.871
K 3.303 8.367 5.624
K 3.303 8.367 16.871
K 6.826 1.762 5.624
K 6.826 1.762 16.871
K 8.367 6.826 5.624
K 8.367 6.826 16.871
La 0.000 0.000 2.836
La 0.000 0.000 19.659
La 0.933 7.391 0.000
La 2.326 5.997 11.247
La 2.738 0.933 0.000
La 4.132 2.326 11.247
La 5.065 5.065 8.412
La 5.065 5.065 14.083
La 5.997 7.803 11.247
La 7.391 9.197 0.000
La 7.803 4.132 11.247
La 9.197 2.738 0.000
Os 0.000 0.000 0.000
Os 5.065 5.065 11.247
I 0.000 0.000 6.182
I 0.000 0.000 16.312
I 0.941 3.042 11.247
I 1.000 7.006 3.270
I 1.000 7.006 19.224
I 1.942 6.064 7.977
I 1.942 6.064 14.518
I 2.023 4.124 0.000
I 3.042 9.188 11.247
I 3.123 1.000 3.270
I 3.123 1.000 19.224
I 4.065 1.942 7.977
I 4.065 1.942 14.518
I 4.124 8.106 0.000
I 5.065 5.065 5.065
I 5.065 5.065 17.430
I 6.005 2.023 0.000
I 6.064 8.187 7.977
I 6.064 8.187 14.518
I 7.006 9.130 3.270
I 7.006 9.130 19.224
I 7.087 0.941 11.247
I 8.106 6.005 0.000
I 8.187 4.065 7.977
I 8.187 4.065 14.518
I 9.130 3.123 3.270
I 9.130 3.123 19.224
I 9.188 7.087 11.247
```

=====

8.
K2La6OsI12: theoretical powder X-ray diffraction pattern (Cu Kα (weighted mean of Kα1 and Kα2)), based on a cell relaxed with PBE.

The 10 most intense peaks (15 to 90 degrees two-theta), by angle:
- 2θ 24.49, I 54.2
- 2θ 26.94, I 36.3
- 2θ 27.87, I 100.0
- 2θ 28.09, I 82.6
- 2θ 28.82, I 70.8
- 2θ 29.36, I 34.0
- 2θ 29.91, I 43.7
- 2θ 39.57, I 45.7
- 2θ 39.67, I 30.9
- 2θ 40.93, I 30.2

```
42
Lattice="10.110 0.000 0.000 0.000 19.644 0.000 -3.149 0.000 9.567" Properties=species:S:1:pos:R:3 pbc="T T T"
K -0.563 3.774 3.907
K -2.137 6.048 8.691
K 9.099 13.595 0.876
K 7.525 15.870 5.660
La 0.826 10.055 3.882
La -0.749 19.411 8.666
La 2.032 2.822 8.593
La 3.606 6.999 3.809
La 4.142 0.903 2.502
La 2.568 8.919 7.286
La 4.394 10.725 2.281
La 2.820 18.740 7.065
La 3.356 12.644 5.758
La 4.930 16.821 0.974
La 7.710 0.233 0.902
La 6.136 9.589 5.686
Os 5.055 0.000 0.000
Os 3.481 9.822 4.784
I -1.028 2.864 7.435
I 0.546 6.958 2.652
I 0.905 0.689 1.888
I -0.669 9.132 6.672
I 1.509 11.136 0.914
I -0.066 18.329 5.698
I 0.390 13.260 4.640
I -1.184 16.206 9.423
I 3.753 4.070 1.739
I 2.178 5.752 6.523
I 2.965 1.982 5.564
I 4.539 7.840 0.780
I 2.423 11.804 8.787
I 3.997 17.662 4.003
I 4.783 13.892 3.045
I 3.209 15.574 7.829
I 8.146 3.438 0.144
I 6.572 6.384 4.928
I 7.027 1.314 3.870
I 5.453 8.507 8.653
I 7.631 10.511 2.896
I 6.057 18.954 7.680
I 6.416 12.686 6.916
I 7.990 16.780 2.132
```